Simulated X-ray diffraction stick pattern of Er4Lu4B3 for CuKα, from DFT lattice parameters and positions (GGA-PBE).
No peak broadening, texture or thermal motion is included.

Most intense lines, 2θ from 15° to 90°, sorted by position:
| two_theta | intensity |
| --- | --- |
| 27.69 | 50 |
| 32.20 | 100 |
| 32.42 | 76 |
| 32.55 | 33 |
| 33.36 | 60 |
| 33.54 | 68 |
| 37.40 | 48 |
| 37.67 | 57 |
| 51.51 | 32 |
| 53.46 | 46 |

Structure:
a = 3.483 Å, b = 4.811 Å, c = 14.993 Å
α = 82.54°, β = 83.38°, γ = 89.99°
Sites, in units of the cell vectors:
Er  0.039  0.329  0.421
Er  0.292  0.011  0.916
Er  0.708  0.989  0.084
Er  0.961  0.671  0.579
Lu  0.156  0.437  0.188
Lu  0.411  0.097  0.678
Lu  0.589  0.903  0.322
Lu  0.844  0.563  0.812
B  0.248  0.481  0.004
B  0.500  0.000  0.500
B  0.752  0.519  0.996

***

Simulated X-ray diffraction stick pattern of HgPdPt2O6 for CuKα, from DFT lattice parameters and positions (GGA-PBE).
No peak broadening, texture or thermal motion is included.

Most intense lines, 2θ from 15° to 90°, sorted by position:
| two_theta | intensity |
| --- | --- |
| 29.83 | 100 |
| 33.05 | 83 |
| 34.35 | 28 |
| 37.55 | 43 |
| 49.89 | 15 |
| 51.79 | 54 |
| 58.75 | 16 |
| 60.70 | 14 |
| 61.15 | 29 |
| 66.76 | 21 |

Structure:
a = 6.374 Å, b = 6.374 Å, c = 3.171 Å
α = 90.00°, β = 90.00°, γ = 110.00°
Sites, in units of the cell vectors:
Hg  0.000  0.000  0.000
Pd  0.500  0.500  0.000
Pt  0.000  0.500  0.500
Pt  0.500  0.000  0.500
O  0.165  0.426  0.000
O  0.169  0.831  0.500
O  0.426  0.165  0.000
O  0.574  0.835  0.000
O  0.831  0.169  0.500
O  0.835  0.574  0.000

***

Simulated X-ray diffraction stick pattern of GdHfAg6 for CuKα, from DFT lattice parameters and positions (GGA-PBE).
No peak broadening, texture or thermal motion is included.

Most intense lines, 2θ from 15° to 90°, sorted by position:
| two_theta | intensity |
| --- | --- |
| 34.08 | 26 |
| 36.44 | 41 |
| 38.80 | 100 |
| 39.97 | 49 |
| 50.75 | 16 |
| 62.69 | 15 |
| 67.15 | 19 |
| 67.95 | 10 |
| 72.42 | 10 |
| 74.72 | 32 |

Structure:
a = 4.931 Å, b = 6.153 Å, c = 5.074 Å
α = 90.00°, β = 90.00°, γ = 90.00°
Sites, in units of the cell vectors:
Gd  0.000  0.000  0.000
Hf  0.500  0.500  0.687
Ag  0.000  0.267  0.506
Ag  0.000  0.500  0.005
Ag  0.000  0.733  0.506
Ag  0.500  0.000  0.654
Ag  0.500  0.260  0.181
Ag  0.500  0.740  0.181

***

Simulated X-ray diffraction stick pattern of CoSiNiPt for CuKα, from DFT lattice parameters and positions (GGA-PBE).
No peak broadening, texture or thermal motion is included.

Most intense lines, 2θ from 15° to 90°, sorted by position:
| two_theta | intensity |
| --- | --- |
| 26.60 | 38 |
| 30.81 | 28 |
| 44.13 | 100 |
| 52.27 | 19 |
| 54.78 | 8 |
| 64.18 | 16 |
| 70.75 | 8 |
| 72.87 | 10 |
| 81.18 | 33 |
| 87.28 | 7 |

Structure:
a = 5.805 Å, b = 5.805 Å, c = 5.805 Å
α = 90.00°, β = 90.00°, γ = 90.00°
Sites, in units of the cell vectors:
Co  0.000  0.000  0.000
Co  0.000  0.500  0.500
Co  0.500  0.000  0.500
Co  0.500  0.500  0.000
Si  0.250  0.250  0.750
Si  0.250  0.750  0.250
Si  0.750  0.250  0.250
Si  0.750  0.750  0.750
Ni  0.250  0.250  0.250
Ni  0.250  0.750  0.750
Ni  0.750  0.250  0.750
Ni  0.750  0.750  0.250
Pt  0.000  0.000  0.500
Pt  0.000  0.500  0.000
Pt  0.500  0.000  0.000
Pt  0.500  0.500  0.500

***

Simulated X-ray diffraction stick pattern of NpP4 for CuKα, from DFT lattice parameters and positions (GGA-PBE).
No peak broadening, texture or thermal motion is included.

Most intense lines, 2θ from 15° to 90°, sorted by position:
| two_theta | intensity |
| --- | --- |
| 19.20 | 100 |
| 26.98 | 24 |
| 27.46 | 57 |
| 30.03 | 24 |
| 30.93 | 61 |
| 35.66 | 19 |
| 38.97 | 23 |
| 42.39 | 19 |
| 43.52 | 48 |
| 44.17 | 17 |

Structure:
a = 7.193 Å, b = 7.193 Å, c = 6.253 Å
α = 98.11°, β = 98.11°, γ = 136.52°
Sites, in units of the cell vectors:
Np  0.049  0.951  0.750
Np  0.951  0.049  0.250
P  0.051  0.499  0.180
P  0.159  0.404  0.696
P  0.404  0.159  0.196
P  0.499  0.051  0.680
P  0.501  0.949  0.320
P  0.596  0.841  0.804
P  0.841  0.596  0.304
P  0.949  0.501  0.820

***

Simulated X-ray diffraction stick pattern of Ho2Ga4CuNi for CuKα, from DFT lattice parameters and positions (GGA-PBE).
No peak broadening, texture or thermal motion is included.

Most intense lines, 2θ from 15° to 90°, sorted by position:
| two_theta | intensity |
| --- | --- |
| 35.77 | 100 |
| 35.93 | 13 |
| 36.98 | 89 |
| 38.53 | 35 |
| 42.80 | 38 |
| 44.25 | 16 |
| 45.21 | 23 |
| 58.94 | 20 |
| 64.00 | 16 |
| 69.46 | 16 |

Structure:
a = 6.569 Å, b = 4.226 Å, c = 9.999 Å
α = 90.00°, β = 90.00°, γ = 90.00°
Sites, in units of the cell vectors:
Ho  0.000  0.000  0.000
Ho  0.000  0.500  0.500
Ho  0.500  0.000  0.157
Ho  0.500  0.500  0.657
Ga  0.200  0.000  0.715
Ga  0.200  0.500  0.215
Ga  0.305  0.000  0.444
Ga  0.305  0.500  0.944
Ga  0.695  0.000  0.444
Ga  0.695  0.500  0.944
Ga  0.800  0.000  0.715
Ga  0.800  0.500  0.215
Cu  0.000  0.000  0.287
Cu  0.000  0.500  0.787
Ni  0.500  0.000  0.873
Ni  0.500  0.500  0.373